Simulated powder diffraction line list
Compound: Li4Mn3SbO8
Radiation: CuKα
Structure: DFT lattice parameters and positions (GGA+U)
Intensities are scaled so that the largest is 100.

Peak list (10 most intense, 2θ = 10–90°, low angle first)
2θ (°), Rel. int.
17.46, 20
17.95, 100
33.46, 35
34.20, 18
35.35, 21
40.91, 52
42.18, 25
45.61, 14
59.52, 15
60.91, 14

abc: 6.0890 6.0890 10.7138
angles: 105.70 105.70 62.34
Fractional positions:
Li1 0.0000 0.5000 0.0000
Li2 0.0000 0.5000 0.5000
Li3 0.2154 0.2654 0.2353
Li4 0.2654 0.2154 0.7353
Li5 0.5000 0.0000 0.0000
Li6 0.5000 0.0000 0.5000
Li7 0.7346 0.7846 0.2647
Li8 0.7846 0.7346 0.7647
Mn1 0.0000 0.0000 0.0000
Mn2 0.0000 0.0000 0.5000
Mn3 0.2536 0.7464 0.7500
Mn4 0.5000 0.5000 0.0000
Mn5 0.5000 0.5000 0.5000
Mn6 0.7464 0.2536 0.2500
Sb1 0.2502 0.7498 0.2500
Sb2 0.7498 0.2502 0.7500
O1 0.0936 0.1357 0.8705
O2 0.1192 0.6710 0.8919
O3 0.1232 0.6287 0.3635
O4 0.1357 0.0936 0.3705
O5 0.3290 0.8808 0.6081
O6 0.3611 0.4028 0.1369
O7 0.3713 0.8768 0.1365
O8 0.4028 0.3611 0.6369
O9 0.5972 0.6389 0.3631
O10 0.6287 0.1232 0.8635
O11 0.6389 0.5972 0.8631
O12 0.6710 0.1192 0.3919
O13 0.8643 0.9064 0.6295
O14 0.8768 0.3713 0.6365
O15 0.8808 0.3290 0.1081
O16 0.9064 0.8643 0.1295